Entry 1:
The following is a theoretical X-ray powder pattern of Li3BH6. It was derived from a GGA-PBE-relaxed structure, using CuKα.

Crystal structure
```
20
Lattice="5.0688 0.0000 0.0000 -0.3742 5.6004 0.0000 -0.3902 -1.0941 6.2541" Properties=species:S:1:pos:R:3 pbc="T T T"
Li 0.0000 0.0000 0.0000
Li -0.1178 1.8467 2.4422
Li 1.5601 3.3293 1.0154
Li 2.3897 0.4709 1.3565
Li 3.0299 4.4137 3.5096
Li 4.1686 1.4900 5.7080
B 1.8680 2.2599 3.9716
B 3.9369 3.9232 1.3216
H 0.8756 1.5125 0.9123
H 0.6319 5.0672 2.5970
H 0.9899 1.6375 4.5755
H 1.2748 -0.0909 3.1707
H 1.3427 3.0464 3.1856
H 1.5121 -0.3666 5.4141
H 1.5088 4.5714 5.4663
H 2.6082 1.4786 3.3692
H 2.5279 2.8997 4.7895
H 3.3949 2.8210 0.9500
H 4.1731 -0.1416 4.8054
H 4.3319 3.6265 2.4679
```

The 10 most intense peaks (15° ≤ 2θ ≤ 90°), in order of rising 2θ:
- 16.07 deg, I = 100.0
- 21.81 deg, I = 59.1
- 22.94 deg, I = 53.6
- 23.27 deg, I = 44.6
- 23.46 deg, I = 52.8
- 26.55 deg, I = 66.9
- 32.53 deg, I = 78.3
- 33.16 deg, I = 54.9
- 35.86 deg, I = 47.4
- 40.73 deg, I = 64.8


Entry 2:
The following is a theoretical X-ray powder pattern of Li2B11H11. It was derived from a GGA-PBE-relaxed structure, using CuKα.

Crystal structure
```
24
Lattice="0.0000 5.8114 5.5650 4.1189 0.0000 5.5650 4.1189 5.8114 0.0000" Properties=species:S:1:pos:R:3 pbc="T T T"
Li 2.0595 2.9057 0.0000
Li 2.0595 2.9057 5.5650
B 4.1189 5.8114 0.1726
B 4.1189 1.6504 5.2246
B 2.8020 0.9011 4.5349
B 5.0280 5.8114 8.6267
B 1.3169 4.9103 4.5349
B 4.1189 4.3398 9.0290
B 5.4358 6.7126 10.0999
B 4.1189 9.9724 5.2246
B 3.2098 5.8114 8.6268
B 4.1189 7.2830 9.0290
B 6.9209 10.7217 10.0999
H 5.7745 4.5139 4.6694
H 4.1189 5.8114 1.3751
H 4.1189 2.6440 5.9361
H 5.7745 7.1089 4.6694
H 5.7557 5.8114 7.6799
H 2.4633 4.5139 4.6694
H 4.1189 3.3768 8.3147
H 2.4633 7.1089 4.6694
H 4.1189 8.9789 5.9361
H 2.4821 5.8114 7.6799
H 4.1189 8.2461 8.3147
```

The 10 most intense peaks (15° ≤ 2θ ≤ 90°), in order of rising 2θ:
- 15.25 deg, I = 9.5
- 15.40 deg, I = 100.0
- 15.93 deg, I = 27.7
- 21.57 deg, I = 1.8
- 22.12 deg, I = 3.6
- 34.83 deg, I = 1.9
- 39.07 deg, I = 1.5
- 41.10 deg, I = 2.0
- 52.19 deg, I = 1.1
- 53.58 deg, I = 1.3


Entry 3:
The following is a theoretical X-ray powder pattern of Li3BH6. It was derived from a GGA-PBE-relaxed structure, using CuKα.

Crystal structure
```
20
Lattice="3.7333 2.1554 2.8771 -3.7333 2.1554 2.8771 0.0000 -4.3109 2.8771" Properties=species:S:1:pos:R:3 pbc="T T T"
Li -2.5315 -0.7114 4.0943
Li -0.6497 -2.5481 4.5369
Li -1.8819 1.8367 4.5369
Li 1.8819 -1.8367 4.0943
Li 0.6497 2.5481 4.0943
Li 2.5315 0.7114 4.5369
B 0.0000 0.0000 0.0000
B 0.0000 0.0000 4.3156
H -2.5484 -2.3115 4.9481
H -3.2760 1.0512 3.6832
H -0.6980 -0.9586 3.4740
H 0.7276 -3.3627 3.6832
H -0.4811 1.0837 3.4740
H -1.1791 0.1252 5.1573
H 1.1791 -0.1252 3.4740
H 0.4812 -1.0837 5.1573
H -0.7276 3.3627 4.9481
H 0.6980 0.9586 5.1573
H 3.2760 -1.0512 4.9481
H 2.5484 2.3115 3.6832
```

The 10 most intense peaks (15° ≤ 2θ ≤ 90°), in order of rising 2θ:
- 23.83 deg, I = 61.1
- 24.80 deg, I = 100.0
- 31.08 deg, I = 39.9
- 34.67 deg, I = 45.0
- 38.27 deg, I = 80.2
- 39.55 deg, I = 26.4
- 42.51 deg, I = 80.9
- 55.48 deg, I = 26.7
- 56.93 deg, I = 52.1
- 66.24 deg, I = 32.7


Copy entry 3 word for word.
The following is a theoretical X-ray powder pattern of Li3BH6. It was derived from a GGA-PBE-relaxed structure, using CuKα.

Crystal structure
```
20
Lattice="3.7333 2.1554 2.8771 -3.7333 2.1554 2.8771 0.0000 -4.3109 2.8771" Properties=species:S:1:pos:R:3 pbc="T T T"
Li -2.5315 -0.7114 4.0943
Li -0.6497 -2.5481 4.5369
Li -1.8819 1.8367 4.5369
Li 1.8819 -1.8367 4.0943
Li 0.6497 2.5481 4.0943
Li 2.5315 0.7114 4.5369
B 0.0000 0.0000 0.0000
B 0.0000 0.0000 4.3156
H -2.5484 -2.3115 4.9481
H -3.2760 1.0512 3.6832
H -0.6980 -0.9586 3.4740
H 0.7276 -3.3627 3.6832
H -0.4811 1.0837 3.4740
H -1.1791 0.1252 5.1573
H 1.1791 -0.1252 3.4740
H 0.4812 -1.0837 5.1573
H -0.7276 3.3627 4.9481
H 0.6980 0.9586 5.1573
H 3.2760 -1.0512 4.9481
H 2.5484 2.3115 3.6832
```

The 10 most intense peaks (15° ≤ 2θ ≤ 90°), in order of rising 2θ:
- 23.83 deg, I = 61.1
- 24.80 deg, I = 100.0
- 31.08 deg, I = 39.9
- 34.67 deg, I = 45.0
- 38.27 deg, I = 80.2
- 39.55 deg, I = 26.4
- 42.51 deg, I = 80.9
- 55.48 deg, I = 26.7
- 56.93 deg, I = 52.1
- 66.24 deg, I = 32.7


What did the first record say?
The following is a theoretical X-ray powder pattern of Li3BH6. It was derived from a GGA-PBE-relaxed structure, using CuKα.

Crystal structure
```
20
Lattice="5.0688 0.0000 0.0000 -0.3742 5.6004 0.0000 -0.3902 -1.0941 6.2541" Properties=species:S:1:pos:R:3 pbc="T T T"
Li 0.0000 0.0000 0.0000
Li -0.1178 1.8467 2.4422
Li 1.5601 3.3293 1.0154
Li 2.3897 0.4709 1.3565
Li 3.0299 4.4137 3.5096
Li 4.1686 1.4900 5.7080
B 1.8680 2.2599 3.9716
B 3.9369 3.9232 1.3216
H 0.8756 1.5125 0.9123
H 0.6319 5.0672 2.5970
H 0.9899 1.6375 4.5755
H 1.2748 -0.0909 3.1707
H 1.3427 3.0464 3.1856
H 1.5121 -0.3666 5.4141
H 1.5088 4.5714 5.4663
H 2.6082 1.4786 3.3692
H 2.5279 2.8997 4.7895
H 3.3949 2.8210 0.9500
H 4.1731 -0.1416 4.8054
H 4.3319 3.6265 2.4679
```

The 10 most intense peaks (15° ≤ 2θ ≤ 90°), in order of rising 2θ:
- 16.07 deg, I = 100.0
- 21.81 deg, I = 59.1
- 22.94 deg, I = 53.6
- 23.27 deg, I = 44.6
- 23.46 deg, I = 52.8
- 26.55 deg, I = 66.9
- 32.53 deg, I = 78.3
- 33.16 deg, I = 54.9
- 35.86 deg, I = 47.4
- 40.73 deg, I = 64.8